Starting from a crystal structure in the Materials Project, relaxed with PBE, the X-ray powder pattern of ThAl8Cr4 was simulated for Cu Kα, 1.54184 Å.
Intensities are scaled so that the largest is 100.

Most intense lines, 10 to 80 degrees two-theta, in order of rising 2θ:
- 6.376 Å, 2θ = 13.89°, intensity 87
- 4.390 Å, 2θ = 20.23°, intensity 80
- 3.145 Å, 2θ = 28.38°, intensity 100
- 2.254 Å, 2θ = 40.00°, intensity 66
- 2.239 Å, 2θ = 40.28°, intensity 95
- 2.195 Å, 2θ = 41.13°, intensity 90

a b c (Å): 6.853 6.853 6.853
angles (deg): 97.73 97.73 136.98
Fractional positions:
Th: 0.000 0.000 0.000
Al: 0.000 0.344 0.344
Al: 0.000 0.656 0.656
Al: 0.276 0.500 0.776
Al: 0.344 0.000 0.344
Al: 0.500 0.276 0.776
Al: 0.500 0.724 0.224
Al: 0.656 0.000 0.656
Al: 0.724 0.500 0.224
Cr: 0.000 0.000 0.500
Cr: 0.000 0.500 0.000
Cr: 0.500 0.000 0.000
Cr: 0.500 0.500 0.500